The following is a simulated X-ray powder pattern of PrMgH4. It was derived from the GGA-PBE geometry in Alexandria, using copper Kα.
Kinematic intensities with the Lorentz-polarization factor, no thermal factor.

Cell and atoms:
```
data_PrMgH4
_space_group_name_H-M_alt 'C 1 2/m 1'
_space_group_IT_number 12
_cell_length_a 5.1020
_cell_length_b 5.1020
_cell_length_c 5.2977
_cell_angle_alpha 90.00
_cell_angle_beta 90.07
_cell_angle_gamma 90.00
loop_
_space_group_symop_operation_xyz
'x,y,z'
'-x,-y,-z'
'-x,y,-z'
'x,-y,z'
'x+1/2,y+1/2,z'
'-x+1/2,-y+1/2,-z'
'-x+1/2,y+1/2,-z'
'x+1/2,-y+1/2,z'
loop_
_atom_site_label
_atom_site_type_symbol
_atom_site_fract_x
_atom_site_fract_y
_atom_site_fract_z
Pr1 Pr 0.0000 0.0000 0.0000
Mg1 Mg 0.0000 0.5000 0.5000
H1 H 0.2504 0.2501 0.2796
```

Peak list (6 most intense, 10° ≤ 2θ ≤ 90°, in order of falling intensity)
- (1 1 1), 2θ = 29.97°, d = 2.982 Å, intensity 100
- (0 0 1), 2θ = 16.73°, d = 5.298 Å, intensity 47
- (1 1 0), 2θ = 24.68°, d = 3.608 Å, intensity 39
- (2 0 0), 2θ = 35.18°, d = 2.551 Å, intensity 30
- (3 1 1), 2θ = 59.93°, d = 1.543 Å, intensity 28
- (2 0 2), 2θ = 49.61°, d = 1.837 Å, intensity 26


The following is a simulated X-ray powder pattern of Ti4ReW. It was derived from the GGA-PBE geometry in Alexandria, using copper Kα.
Kinematic intensities with the Lorentz-polarization factor, no thermal factor.

Cell and atoms:
```
data_Ti4ReW
_space_group_name_H-M_alt 'P 1 21/c 1'
_space_group_IT_number 14
_cell_length_a 5.2425
_cell_length_b 7.8176
_cell_length_c 5.2412
_cell_angle_alpha 90.00
_cell_angle_beta 114.98
_cell_angle_gamma 90.00
loop_
_space_group_symop_operation_xyz
'x,y,z'
'-x,-y,-z'
'-x,y+1/2,-z+1/2'
'x,-y+1/2,z+1/2'
loop_
_atom_site_label
_atom_site_type_symbol
_atom_site_fract_x
_atom_site_fract_y
_atom_site_fract_z
Ti1 Ti 0.1095 0.1675 0.1164
Ti2 Ti 0.3860 0.6633 0.8931
Re1 Re 0.0000 0.0000 0.5000
W1 W 0.5000 0.0000 0.0000
```

Peak list (6 most intense, 10° ≤ 2θ ≤ 90°, in order of falling intensity)
- (1 3 -1), 2θ = 40.17°, d = 2.245 Å, intensity 100
- (1 1 -1), 2θ = 23.11°, d = 3.848 Å, intensity 96
- (1 1 1), 2θ = 33.82°, d = 2.650 Å, intensity 64
- (2 0 0), 2θ = 37.87°, d = 2.376 Å, intensity 61
- (2 2 0), 2θ = 44.64°, d = 2.030 Å, intensity 60
- (0 2 0), 2θ = 22.75°, d = 3.909 Å, intensity 51